Diffraction record for Mn2NiN2. The X-ray powder pattern is simulated, not measured: it uses the GGA-PBE geometry in the Materials Project and Cu Kα X-rays.
Kinematic intensities with the Lorentz-polarization factor, no thermal factor.

Principal peaks in the range 2θ from 15° to 90°, low angle first:
2θ = 39.2°, d = 2.299 Å, intensity 1000, hkl 1 3 0; 2θ = 44.9°, d = 2.017 Å, intensity 593, hkl 1 0 1; 2θ = 46.8°, d = 1.941 Å, intensity 250, hkl 0 6 0; 2θ = 65.4°, d = 1.428 Å, intensity 82, hkl 0 0 2; 2θ = 65.5°, d = 1.425 Å, intensity 85, hkl 2 0 0; 2θ = 66.9°, d = 1.399 Å, intensity 299, hkl 1 6 1; 2θ = 79.0°, d = 1.212 Å, intensity 228, hkl 2 3 1; 2θ = 81.7°, d = 1.178 Å, intensity 98, hkl 1 9 0; 2θ = 84.2°, d = 1.150 Å, intensity 72, hkl 0 6 2; 2θ = 84.3°, d = 1.149 Å, intensity 75, hkl 2 6 0

Cell and atoms:
Lattice parameters (Å, degrees): 2.8509 11.6449 2.8553 90.00 90.00 90.00
Space group Pmmn (No. 59, origin choice 2)
Asymmetric unit:
Mn (0.2500, 0.0902, 0.2417) (multiplicity 4)
Ni (0.2500, 0.7500, 0.2726) (multiplicity 2)
N (0.2500, 0.5896, 0.2576) (multiplicity 4)